# Mn3Cu2NiO8
Theoretical powder diffractogram, CuKα. Input: a structure optimized by DFT (GGA+U).
Peak positions follow from Bragg's law for the DFT cell and can differ from measured ones.

```
14
Lattice="2.984 1.723 4.842 -2.984 1.723 4.842 0.000 -3.445 4.842" Properties=species:S:1:pos:R:3 pbc="T T T"
Mn -1.492 -0.861 4.842
Mn -1.492 0.861 9.683
Mn 0.000 1.723 4.842
Cu 0.000 0.000 1.781
Cu 0.000 0.000 12.744
Ni 0.000 0.000 7.262
O 0.000 -1.576 5.917
O -1.365 0.788 5.917
O 0.000 0.000 3.747
O -1.365 -0.788 8.608
O 1.365 0.788 5.917
O 0.000 0.000 10.777
O 1.365 -0.788 8.608
O 0.000 1.576 8.608
```

Largest 12 diffraction maxima, in order of rising 2θ, 10 to 90 degrees two-theta:
2θ (°)	I_rel
29.9	26.9
30.1	20.7
35.3	100.0
35.4	34.6
36.9	8.1
43.0	19.7
53.2	11.4
56.8	38.1
56.9	9.4
62.2	29.3
62.5	28.1
89.2	11.9